For Nd6Fe13Cu, a cell relaxed with GGA-PBE gives the calculated X-ray powder pattern in this record (CuKα).
Intensities are scaled so that the largest is 100.

Largest 12 diffraction maxima, in order of rising 2θ, 2θ = 10–90°:
d/Å  two_theta  I/Imax
3.232  27.60  60
2.828  31.64  23
2.806  31.90  67
2.529  35.49  100
2.398  37.51  23
2.309  39.01  79
2.262  39.86  28
2.056  44.04  29
1.933  47.02  31
1.788  51.07  21
1.568  58.88  29
1.372  68.39  20

Unit cell a=7.9982 b=7.9982 c=22.6172 alpha=90.00 beta=90.00 gamma=90.00
Space group I4/mcm (No. 140)
Symmetry-distinct sites (fractional):
Nd: 0.0000 0.0000 0.1095
Nd: 0.1636 0.3364 0.1887
Fe: 0.0000 0.5000 0.0000
Fe: 0.0666 0.2092 0.5000
Fe: 0.1142 0.3858 0.4030
Fe: 0.1789 0.3211 0.0604
Cu: 0.0000 0.0000 0.2500

***

For SmSbCl2O2, a cell relaxed with GGA-PBE gives the calculated X-ray powder pattern in this record (CuKα).
Intensities are scaled so that the largest is 100.

Largest 12 diffraction maxima, in order of rising 2θ, 2θ = 10–90°:
d/Å  two_theta  I/Imax
7.009  12.63  46
3.395  26.25  84
2.745  32.63  67
2.601  34.48  100
2.161  41.81  27
1.941  46.81  34
1.779  51.36  25
1.685  54.46  24
1.597  57.73  19
1.555  59.42  39
1.233  77.39  16
1.227  77.82  11

Unit cell a=3.8814 b=3.8814 c=7.0089 alpha=90.00 beta=90.00 gamma=90.00
Space group P4mm (No. 99)
Symmetry-distinct sites (fractional):
Sm: 0.0000 0.0000 0.0000
Sb: 0.5000 0.5000 0.6542
Cl: 0.0000 0.0000 0.4266
Cl: 0.5000 0.5000 0.1576
O: 0.0000 0.5000 0.8098

***

For Re2SCl12, a cell relaxed with GGA-PBE gives the calculated X-ray powder pattern in this record (CuKα).
Intensities are scaled so that the largest is 100.

Largest 12 diffraction maxima, in order of rising 2θ, 2θ = 10–90°:
d/Å  two_theta  I/Imax
8.717  10.15  31
6.584  13.45  36
5.337  16.61  100
4.547  19.52  12
3.579  24.88  10
2.754  32.51  9
2.669  33.58  10
2.549  35.21  13
2.154  41.94  9
2.111  42.83  9
2.018  44.92  12
1.780  51.32  10

Unit cell a=8.3794 b=10.6591 c=8.7249 alpha=90.00 beta=92.46 gamma=90.00
Space group P2_1/m (No. 11)
Symmetry-distinct sites (fractional):
Re: 0.1363 0.2500 0.3889
Re: 0.3603 0.2500 0.6248
S: 0.3238 0.7500 0.0635
Cl: 0.0947 0.7500 0.1236
Cl: 0.1137 0.0953 0.2061
Cl: 0.1330 0.7500 0.5747
Cl: 0.1645 0.0879 0.5851
Cl: 0.3043 0.2500 0.8850
Cl: 0.3281 0.6015 0.9178
Cl: 0.4244 0.2500 0.3597
Cl: 0.4476 0.5956 0.3269

***

For FeSn4H24C8Se10N2, a cell relaxed with GGA-PBE gives the calculated X-ray powder pattern in this record (CuKα).
Intensities are scaled so that the largest is 100.

Largest 12 diffraction maxima, in order of rising 2θ, 2θ = 10–90°:
d/Å  two_theta  I/Imax
8.392  10.54  100
5.220  16.99  32
4.288  20.72  17
4.196  21.17  20
3.379  26.38  81
2.922  30.59  16
2.610  34.36  9
2.448  36.71  14
2.231  40.44  20
2.066  43.83  13
2.000  45.34  27
1.862  48.93  23

Unit cell a=9.9761 b=9.9761 c=15.5218 alpha=90.00 beta=90.00 gamma=90.00
Space group I-4 (No. 82)
Symmetry-distinct sites (fractional):
Fe: 0.0000 0.0000 0.0000
Sn: 0.0773 0.3095 0.8437
H: 0.0188 0.1490 0.4043
H: 0.0534 0.3621 0.3470
H: 0.0582 0.7029 0.2650
H: 0.0614 0.1387 0.5963
H: 0.0896 0.3788 0.1540
H: 0.1049 0.8162 0.4862
C: 0.0343 0.6170 0.3064
C: 0.0611 0.8933 0.4445
Se: 0.0000 0.5000 0.5544
Se: 0.1165 0.7789 0.7503
Se: 0.1180 0.8224 0.0715
N: 0.0000 0.0000 0.5000
N: 0.0000 0.5000 0.2500

***

For RbTe4IrAu3, a cell relaxed with GGA-PBE gives the calculated X-ray powder pattern in this record (CuKα).
Intensities are scaled so that the largest is 100.

Largest 12 diffraction maxima, in order of rising 2θ, 2θ = 10–90°:
d/Å  two_theta  I/Imax
6.829  12.96  64
3.943  22.55  67
3.414  26.10  14
3.054  29.24  9
2.414  37.24  100
2.276  39.59  17
2.059  43.98  31
1.894  48.04  20
1.707  53.69  15
1.567  58.95  9
1.527  60.64  11
1.394  67.15  28

Unit cell a=6.8290 b=6.8290 c=6.8290 alpha=90.00 beta=90.00 gamma=90.00
Space group P-43m (No. 215)
Symmetry-distinct sites (fractional):
Rb: 0.0000 0.0000 0.0000
Te: 0.2858 0.2858 0.2858
Ir: 0.5000 0.5000 0.5000
Au: 0.0000 0.5000 0.5000

***

For ReI4, a cell relaxed with GGA-PBE gives the calculated X-ray powder pattern in this record (CuKα).
Intensities are scaled so that the largest is 100.

Largest 12 diffraction maxima, in order of rising 2θ, 2θ = 10–90°:
d/Å  two_theta  I/Imax
7.474  11.84  77
6.352  13.94  93
3.507  25.39  17
3.298  27.03  47
3.125  28.56  16
2.938  30.42  100
2.557  35.09  38
2.378  37.83  36
2.047  44.25  33
1.895  48.00  20
1.823  50.02  12
1.331  70.77  13

Unit cell a=7.1794 b=14.0296 c=14.9484 alpha=90.00 beta=90.00 gamma=90.00
Space group Cmc2_1 (No. 36)
Symmetry-distinct sites (fractional):
Re: 0.1964 0.1237 0.0000
I: 0.0000 0.0095 0.5849
I: 0.0000 0.2567 0.9145
I: 0.0000 0.2695 0.4309
I: 0.0000 0.4829 0.5694
I: 0.2344 0.0160 0.8522
I: 0.2338 0.2316 0.1478

***

For Li3PrEr2Pb3, a cell relaxed with GGA-PBE gives the calculated X-ray powder pattern in this record (CuKα).
Intensities are scaled so that the largest is 100.

Largest 12 diffraction maxima, in order of rising 2θ, 2θ = 10–90°:
d/Å  two_theta  I/Imax
4.121  21.56  12
3.867  23.00  37
3.318  26.87  42
2.765  32.38  100
2.379  37.81  65
1.966  46.17  14
1.804  50.61  29
1.468  63.38  24
1.437  64.87  28
1.374  68.27  12
1.190  80.77  13
1.093  89.73  12

Unit cell a=4.7590 b=4.7590 c=11.1861 alpha=90.00 beta=90.00 gamma=120.00
Space group P-6m2 (No. 187)
Symmetry-distinct sites (fractional):
Li: 0.0000 0.0000 0.0000
Li: 0.3333 0.6667 0.2985
Pr: 0.6667 0.3333 0.5000
Er: 0.6667 0.3333 0.1597
Pb: 0.0000 0.0000 0.3164
Pb: 0.3333 0.6667 0.0000

***

For Zn2Cl2O, a cell relaxed with GGA-PBE gives the calculated X-ray powder pattern in this record (CuKα).
Intensities are scaled so that the largest is 100.

Largest 12 diffraction maxima, in order of rising 2θ, 2θ = 10–90°:
d/Å  two_theta  I/Imax
4.907  18.08  20
3.144  28.39  91
3.012  29.66  100
2.804  31.91  16
2.488  36.11  80
2.417  37.21  26
2.087  43.36  39
2.011  45.08  42
1.885  48.28  36
1.763  51.85  18
1.618  56.91  19
1.584  58.23  24

Unit cell a=5.6951 b=9.6665 c=6.0243 alpha=90.00 beta=90.00 gamma=90.00
Space group Ibam (No. 72)
Symmetry-distinct sites (fractional):
Zn: 0.1765 0.0984 0.0000
Cl: 0.0781 0.3388 0.0000
O: 0.0000 0.0000 0.2500

***

For Zr4Ta2Fe3N3, a cell relaxed with GGA-PBE gives the calculated X-ray powder pattern in this record (CuKα).
Intensities are scaled so that the largest is 100.

Largest 12 diffraction maxima, in order of rising 2θ, 2θ = 10–90°:
d/Å  two_theta  I/Imax
3.303  27.00  38
2.654  33.78  80
2.636  34.01  39
2.553  35.15  20
2.424  37.08  21
2.333  38.60  23
2.307  39.04  100
2.296  39.24  50
2.094  43.19  50
2.086  43.38  38
1.557  59.37  28
1.408  66.39  29

Unit cell a=9.4053 b=5.3804 c=13.5759 alpha=90.00 beta=103.31 gamma=90.00
Space group C2/c (No. 15)
Symmetry-distinct sites (fractional):
Zr: 0.1134 0.0876 0.0943
Zr: 0.2212 0.0835 0.4053
Ta: 0.0378 0.4184 0.8673
Fe: 0.0000 0.1201 0.2500
Fe: 0.2296 0.1865 0.7501
N: 0.0765 0.2712 0.4999
N: 0.2500 0.2500 0.0000

***

For KPrO3, a cell relaxed with GGA-PBE gives the calculated X-ray powder pattern in this record (CuKα).
Intensities are scaled so that the largest is 100.

Largest 12 diffraction maxima, in order of rising 2θ, 2θ = 10–90°:
d/Å  two_theta  I/Imax
4.529  19.60  100
3.235  27.58  89
3.171  28.14  92
2.264  39.81  59
2.042  44.37  22
2.009  45.12  26
1.867  48.76  26
1.855  49.11  41
1.819  50.16  18
1.617  56.94  16
1.585  58.19  18
1.424  65.58  17

Unit cell a=6.4691 b=6.4691 c=15.3843 alpha=90.00 beta=90.00 gamma=120.00
Space group R-3c (No. 167, hexagonal axes)
Symmetry-distinct sites (fractional):
K: 0.0000 0.0000 0.2500
Pr: 0.0000 0.0000 0.0000
O: 0.0000 0.4248 0.2500

***

For MgCoTcAs, a cell relaxed with GGA-PBE gives the calculated X-ray powder pattern in this record (CuKα).
Intensities are scaled so that the largest is 100.

Largest 10 diffraction maxima, in order of rising 2θ, 2θ = 10–90°:
d/Å  two_theta  I/Imax
3.473  25.65  15
3.008  29.70  7
2.127  42.51  100
1.814  50.31  7
1.737  52.71  2
1.504  61.68  16
1.380  67.92  3
1.345  69.94  2
1.228  77.78  32
1.158  83.51  2

Unit cell a=6.0154 b=6.0154 c=6.0154 alpha=90.00 beta=90.00 gamma=90.00
Space group F-43m (No. 216)
Symmetry-distinct sites (fractional):
Mg: 0.0000 0.0000 0.0000
Co: 0.2500 0.2500 0.7500
Tc: 0.2500 0.2500 0.2500
As: 0.0000 0.0000 0.5000